# 1
Starting from a cell relaxed with GGA-PBE, the powder diffraction line list of Mg2Si6Ni21 was computed for λ = 1.5418 Å (Cu Kα).
Lines closer than 0.1° are merged.

Structural model:
Cell lengths 7.909, 7.909, 7.909 Å; angles 60.00, 60.00, 60.00 degrees
Atoms (fractional coordinates):
Mg 0.250 0.250 0.250
Mg 0.750 0.750 0.750
Si 0.231 0.231 0.769
Si 0.231 0.769 0.231
Si 0.231 0.769 0.769
Si 0.769 0.231 0.231
Si 0.769 0.231 0.769
Si 0.769 0.769 0.231
Ni 0.119 0.119 0.119
Ni 0.119 0.119 0.642
Ni 0.119 0.642 0.119
Ni 0.152 0.500 0.500
Ni 0.152 0.500 0.848
Ni 0.152 0.848 0.500
Ni 0.358 0.881 0.881
Ni 0.500 0.152 0.500
Ni 0.500 0.152 0.848
Ni 0.500 0.500 0.152
Ni 0.500 0.500 0.500
Ni 0.500 0.500 0.848
Ni 0.500 0.848 0.152
Ni 0.500 0.848 0.500
Ni 0.642 0.119 0.119
Ni 0.848 0.152 0.500
Ni 0.848 0.500 0.152
Ni 0.848 0.500 0.500
Ni 0.881 0.358 0.881
Ni 0.881 0.881 0.358
Ni 0.881 0.881 0.881

Largest 10 diffraction maxima, sorted by position, 2θ = 10–80°:
22.48 deg, I = 11; 39.47 deg, I = 12; 41.97 deg, I = 100; 45.89 deg, I = 27; 48.13 deg, I = 31; 48.85 deg, I = 21; 54.41 deg, I = 9; 71.58 deg, I = 16; 73.29 deg, I = 12; 77.79 deg, I = 7



# 2
Starting from a cell relaxed with GGA-PBE, the powder diffraction line list of Sm2Mg2Si4Ni was computed for λ = 1.5418 Å (Cu Kα).
Lines closer than 0.1° are merged.

Structural model:
Cell lengths 6.173, 6.173, 6.173 Å; angles 118.51, 118.51, 92.61 degrees
Atoms (fractional coordinates):
Sm 0.250 0.750 0.500
Sm 0.750 0.250 0.500
Mg 0.205 0.205 0.000
Mg 0.795 0.795 0.000
Si 0.240 0.240 0.480
Si 0.240 0.760 0.000
Si 0.760 0.240 0.000
Si 0.760 0.760 0.520
Ni 0.500 0.500 0.000

Largest 10 diffraction maxima, sorted by position, 2θ = 10–80°:
19.89 deg, I = 39; 28.28 deg, I = 46; 28.96 deg, I = 100; 35.38 deg, I = 87; 40.42 deg, I = 55; 42.39 deg, I = 21; 50.48 deg, I = 42; 58.49 deg, I = 18; 60.00 deg, I = 30; 70.24 deg, I = 23



# 3
Starting from a cell relaxed with GGA-PBE, the powder diffraction line list of SmMg7Ni5 was computed for λ = 1.5418 Å (Cu Kα).
Lines closer than 0.1° are merged.

Structural model:
Cell lengths 6.973, 6.973, 6.973 Å; angles 135.23, 98.87, 97.80 degrees
Atoms (fractional coordinates):
Sm 0.000 0.000 0.000
Mg 0.159 0.454 0.704
Mg 0.269 0.930 0.340
Mg 0.315 0.315 0.000
Mg 0.590 0.930 0.660
Mg 0.639 0.639 0.000
Mg 0.718 0.218 0.500
Mg 0.750 0.454 0.296
Ni 0.174 0.674 0.500
Ni 0.432 0.434 0.481
Ni 0.432 0.951 0.998
Ni 0.953 0.434 0.002
Ni 0.953 0.951 0.519

Largest 10 diffraction maxima, sorted by position, 2θ = 10–80°:
13.74 deg, I = 63; 19.35 deg, I = 39; 27.52 deg, I = 27; 27.66 deg, I = 40; 33.83 deg, I = 18; 39.21 deg, I = 29; 39.35 deg, I = 100; 39.54 deg, I = 32; 39.76 deg, I = 28; 44.21 deg, I = 51



# 4
Starting from a cell relaxed with GGA-PBE, the powder diffraction line list of Mg3NiSn was computed for λ = 1.5418 Å (Cu Kα).
Lines closer than 0.1° are merged.

Structural model:
Cell lengths 8.709, 3.021, 7.660 Å; angles 90.00, 90.00, 90.00 degrees
Atoms (fractional coordinates):
Mg 0.048 0.000 0.220
Mg 0.250 0.000 0.558
Mg 0.452 0.000 0.220
Mg 0.548 0.000 0.780
Mg 0.750 0.000 0.442
Mg 0.952 0.000 0.780
Ni 0.000 0.500 0.500
Ni 0.500 0.500 0.500
Sn 0.250 0.500 0.943
Sn 0.750 0.500 0.057

Largest 10 diffraction maxima, sorted by position, 2θ = 10–80°:
23.22 deg, I = 33; 23.50 deg, I = 84; 36.68 deg, I = 25; 37.93 deg, I = 39; 38.11 deg, I = 100; 39.37 deg, I = 22; 40.97 deg, I = 16; 41.47 deg, I = 24; 57.45 deg, I = 16; 73.43 deg, I = 16



# 5
Starting from a cell relaxed with GGA-PBE, the powder diffraction line list of Mg4Ni3Sn8 was computed for λ = 1.5418 Å (Cu Kα).
Lines closer than 0.1° are merged.

Structural model:
Cell lengths 4.330, 4.330, 17.601 Å; angles 90.00, 90.00, 90.00 degrees
Atoms (fractional coordinates):
Mg 0.000 0.500 0.094
Mg 0.000 0.500 0.597
Mg 0.500 0.000 0.403
Mg 0.500 0.000 0.906
Ni 0.000 0.000 0.000
Ni 0.000 0.000 0.500
Ni 0.500 0.500 0.500
Sn 0.000 0.000 0.268
Sn 0.000 0.000 0.732
Sn 0.000 0.500 0.414
Sn 0.000 0.500 0.921
Sn 0.500 0.000 0.079
Sn 0.500 0.000 0.586
Sn 0.500 0.500 0.221
Sn 0.500 0.500 0.779

Largest 10 diffraction maxima, sorted by position, 2θ = 10–80°:
22.89 deg, I = 39; 25.57 deg, I = 21; 28.93 deg, I = 28; 30.47 deg, I = 21; 30.92 deg, I = 53; 35.73 deg, I = 100; 41.72 deg, I = 63; 52.53 deg, I = 19; 60.47 deg, I = 21; 72.26 deg, I = 26



# 6
Starting from a cell relaxed with GGA-PBE, the powder diffraction line list of Mg3Ni2Sn3 was computed for λ = 1.5418 Å (Cu Kα).
Lines closer than 0.1° are merged.

Structural model:
Cell lengths 7.184, 16.413, 5.451 Å; angles 90.00, 90.00, 90.00 degrees
Atoms (fractional coordinates):
Mg 0.022 0.119 0.095
Mg 0.022 0.381 0.095
Mg 0.171 0.250 0.661
Mg 0.329 0.750 0.161
Mg 0.478 0.619 0.595
Mg 0.478 0.881 0.595
Mg 0.522 0.119 0.405
Mg 0.522 0.381 0.405
Mg 0.671 0.250 0.839
Mg 0.829 0.750 0.339
Mg 0.978 0.619 0.905
Mg 0.978 0.881 0.905
Ni 0.124 0.616 0.426
Ni 0.124 0.884 0.426
Ni 0.376 0.116 0.926
Ni 0.376 0.384 0.926
Ni 0.624 0.616 0.074
Ni 0.624 0.884 0.074
Ni 0.876 0.116 0.574
Ni 0.876 0.384 0.574
Sn 0.174 0.750 0.656
Sn 0.182 0.035 0.612
Sn 0.182 0.465 0.612
Sn 0.318 0.535 0.112
Sn 0.318 0.965 0.112
Sn 0.326 0.250 0.156
Sn 0.674 0.750 0.844
Sn 0.682 0.035 0.888
Sn 0.682 0.465 0.888
Sn 0.818 0.535 0.388
Sn 0.818 0.965 0.388
Sn 0.826 0.250 0.344

Largest 10 diffraction maxima, sorted by position, 2θ = 10–80°:
10.78 deg, I = 48; 20.45 deg, I = 72; 23.03 deg, I = 89; 33.15 deg, I = 49; 35.22 deg, I = 56; 37.12 deg, I = 90; 41.17 deg, I = 71; 41.72 deg, I = 100; 43.88 deg, I = 74; 46.24 deg, I = 49



# 7
Starting from a cell relaxed with GGA-PBE, the powder diffraction line list of Mg2Zn2Ni5Sn was computed for λ = 1.5418 Å (Cu Kα).
Lines closer than 0.1° are merged.

Structural model:
Cell lengths 8.856, 8.856, 3.639 Å; angles 90.00, 90.00, 90.00 degrees
Atoms (fractional coordinates):
Mg 0.174 0.326 0.000
Mg 0.326 0.826 0.000
Mg 0.674 0.174 0.000
Mg 0.826 0.674 0.000
Zn 0.122 0.622 0.000
Zn 0.378 0.122 0.000
Zn 0.622 0.878 0.000
Zn 0.878 0.378 0.000
Ni 0.000 0.500 0.500
Ni 0.072 0.795 0.500
Ni 0.205 0.072 0.500
Ni 0.295 0.572 0.500
Ni 0.428 0.295 0.500
Ni 0.500 0.000 0.500
Ni 0.572 0.705 0.500
Ni 0.705 0.428 0.500
Ni 0.795 0.928 0.500
Ni 0.928 0.205 0.500
Sn 0.000 0.000 0.000
Sn 0.500 0.500 0.000

Largest 10 diffraction maxima, sorted by position, 2θ = 10–80°:
20.05 deg, I = 21; 22.45 deg, I = 31; 37.91 deg, I = 21; 40.65 deg, I = 100; 42.07 deg, I = 18; 44.50 deg, I = 36; 45.82 deg, I = 17; 50.14 deg, I = 21; 58.96 deg, I = 13; 70.26 deg, I = 9



# 8
Starting from a cell relaxed with GGA-PBE, the powder diffraction line list of SrMg3Ni was computed for λ = 1.5418 Å (Cu Kα).
Lines closer than 0.1° are merged.

Structural model:
Cell lengths 5.006, 5.006, 5.006 Å; angles 90.00, 90.00, 90.00 degrees
Atoms (fractional coordinates):
Sr 0.000 0.000 0.000
Mg 0.000 0.500 0.500
Mg 0.500 0.000 0.500
Mg 0.500 0.500 0.000
Ni 0.500 0.500 0.500

Largest 10 diffraction maxima, sorted by position, 2θ = 10–80°:
25.16 deg, I = 100; 30.94 deg, I = 24; 35.88 deg, I = 64; 44.32 deg, I = 43; 51.64 deg, I = 44; 58.28 deg, I = 18; 61.43 deg, I = 10; 64.48 deg, I = 14; 70.37 deg, I = 21; 76.05 deg, I = 7



# 9
Starting from a cell relaxed with GGA-PBE, the powder diffraction line list of Tb2MgNi2 was computed for λ = 1.5418 Å (Cu Kα).
Lines closer than 0.1° are merged.

Structural model:
Cell lengths 3.995, 14.419, 3.661 Å; angles 90.00, 90.00, 90.00 degrees
Atoms (fractional coordinates):
Tb 0.000 0.142 0.000
Tb 0.000 0.858 0.000
Tb 0.500 0.358 0.000
Tb 0.500 0.642 0.000
Mg 0.000 0.500 0.500
Mg 0.500 0.000 0.500
Ni 0.000 0.301 0.500
Ni 0.000 0.699 0.500
Ni 0.500 0.199 0.500
Ni 0.500 0.801 0.500

Largest 10 diffraction maxima, sorted by position, 2θ = 10–80°:
12.28 deg, I = 63; 23.10 deg, I = 24; 24.70 deg, I = 29; 29.06 deg, I = 31; 33.78 deg, I = 75; 34.93 deg, I = 60; 38.24 deg, I = 100; 45.40 deg, I = 26; 49.81 deg, I = 47; 58.53 deg, I = 27



# 10
Starting from a cell relaxed with GGA-PBE, the powder diffraction line list of Tb12MgNi5 was computed for λ = 1.5418 Å (Cu Kα).
Lines closer than 0.1° are merged.

Structural model:
Cell lengths 8.385, 8.385, 8.385 Å; angles 111.70, 109.91, 106.84 degrees
Atoms (fractional coordinates):
Tb 0.019 0.210 0.810
Tb 0.181 0.296 0.476
Tb 0.181 0.704 0.885
Tb 0.321 0.014 0.693
Tb 0.321 0.628 0.307
Tb 0.400 0.210 0.190
Tb 0.600 0.790 0.810
Tb 0.679 0.372 0.693
Tb 0.679 0.986 0.307
Tb 0.819 0.296 0.115
Tb 0.819 0.704 0.524
Tb 0.981 0.790 0.190
Mg 0.500 0.500 0.000
Ni 0.000 0.000 0.000
Ni 0.123 0.623 0.500
Ni 0.366 0.000 0.366
Ni 0.634 0.000 0.634
Ni 0.877 0.377 0.500

Largest 10 diffraction maxima, sorted by position, 2θ = 10–80°:
28.38 deg, I = 36; 29.22 deg, I = 31; 29.95 deg, I = 35; 32.06 deg, I = 100; 34.27 deg, I = 65; 34.55 deg, I = 66; 35.01 deg, I = 49; 35.30 deg, I = 33; 56.07 deg, I = 37; 59.89 deg, I = 37



# 11
Starting from a cell relaxed with GGA-PBE, the powder diffraction line list of Tb9Mg5Ni4 was computed for λ = 1.5418 Å (Cu Kα).
Lines closer than 0.1° are merged.

Structural model:
Cell lengths 10.918, 10.918, 3.670 Å; angles 90.00, 90.00, 90.00 degrees
Atoms (fractional coordinates):
Tb 0.000 0.000 0.000
Tb 0.000 0.277 0.500
Tb 0.000 0.723 0.500
Tb 0.277 0.000 0.500
Tb 0.323 0.323 0.500
Tb 0.323 0.677 0.500
Tb 0.677 0.323 0.500
Tb 0.677 0.677 0.500
Tb 0.723 0.000 0.500
Mg 0.143 0.500 0.000
Mg 0.500 0.143 0.000
Mg 0.500 0.500 0.000
Mg 0.500 0.857 0.000
Mg 0.857 0.500 0.000
Ni 0.190 0.190 0.000
Ni 0.190 0.810 0.000
Ni 0.810 0.190 0.000
Ni 0.810 0.810 0.000

Largest 10 diffraction maxima, sorted by position, 2θ = 10–80°:
16.24 deg, I = 22; 24.25 deg, I = 19; 24.46 deg, I = 57; 33.70 deg, I = 29; 34.71 deg, I = 100; 34.87 deg, I = 58; 38.54 deg, I = 56; 49.68 deg, I = 18; 59.14 deg, I = 21; 62.13 deg, I = 22



# 12
Starting from a cell relaxed with GGA-PBE, the powder diffraction line list of MgNi2Te was computed for λ = 1.5418 Å (Cu Kα).
Lines closer than 0.1° are merged.

Structural model:
Cell lengths 4.173, 4.173, 7.001 Å; angles 90.00, 90.00, 90.00 degrees
Atoms (fractional coordinates):
Mg 0.000 0.000 0.000
Mg 0.500 0.500 0.500
Ni 0.000 0.500 0.250
Ni 0.000 0.500 0.750
Ni 0.500 0.000 0.250
Ni 0.500 0.000 0.750
Te 0.000 0.000 0.500
Te 0.500 0.500 0.000

Largest 10 diffraction maxima, sorted by position, 2θ = 10–80°:
24.84 deg, I = 43; 39.96 deg, I = 100; 43.36 deg, I = 39; 44.48 deg, I = 9; 50.62 deg, I = 12; 52.27 deg, I = 11; 63.00 deg, I = 12; 63.86 deg, I = 6; 70.19 deg, I = 18; 77.26 deg, I = 26